[1]
The following is a calculated powder diffraction line list of Sr2PrPb3. It was derived from a DFT-relaxed cell (PBE, Alexandria), using λ = 1.5418 Å (Cu Kα).
Peak positions follow from Bragg's law for the DFT cell and can differ from measured ones.

Atomic structure:
Lattice parameters (Å, degrees): 5.992 17.743 7.688 90.00 90.00 90.00
Space group Cmmm (No. 65)
One atom of each set of equivalent atoms:
Sr  0.000  0.000  0.000 x2
Sr  0.000  0.000  0.500 x2
Sr  0.000  0.333  0.000 x4
Pr  0.000  0.342  0.500 x4
Pb  0.000  0.172  0.274 x8
Pb  0.000  0.500  0.248 x4

Main lines, low angle first (2θ from 10° to 90°):
d (Å)  I/Imax
4.209  13
2.996  30
2.957  28
2.838  100
2.105  22
1.698  22
1.684  20
1.618  9
1.419  11
1.318  9

[2]
The following is a calculated powder diffraction line list of BaCa4Cr. It was derived from a DFT-relaxed cell (PBE, Alexandria), using λ = 1.5418 Å (Cu Kα).
Peak positions follow from Bragg's law for the DFT cell and can differ from measured ones.

Atomic structure:
Lattice parameters (Å, degrees): 10.084 10.084 10.084 90.00 90.00 90.00
Space group F-43m (No. 216)
One atom of each set of equivalent atoms:
Ba  0.000  0.000  0.000 x4
Ca  0.124  0.124  0.624 x16
Cr  0.250  0.250  0.250 x4

Main lines, low angle first (2θ from 10° to 90°):
d (Å)  I/Imax
5.822  15
3.565  52
3.040  100
2.911  21
2.058  22
1.941  35
1.783  25
1.538  12
1.313  20
1.164  11

[3]
The following is a calculated powder diffraction line list of La4Tl2Ru. It was derived from a DFT-relaxed cell (PBE, Alexandria), using λ = 1.5418 Å (Cu Kα).
Peak positions follow from Bragg's law for the DFT cell and can differ from measured ones.

Atomic structure:
Lattice parameters (Å, degrees): 7.125 3.977 8.762 90.00 105.77 90.00
Space group P2/m (No. 10)
One atom of each set of equivalent atoms:
La  0.157  0.000  0.336 x2
La  0.259  0.500  0.976 x2
Tl  0.413  0.500  0.652 x2
Ru  0.000  0.000  0.000 x1

Main lines, low angle first (2θ from 10° to 90°):
d (Å)  I/Imax
3.440  100
3.105  52
3.043  61
2.912  45
2.811  79
2.447  36
2.349  36
2.338  58
1.988  32
1.623  43

[4]
The following is a calculated powder diffraction line list of PmEr12Pb7. It was derived from a DFT-relaxed cell (PBE, Alexandria), using λ = 1.5418 Å (Cu Kα).
Peak positions follow from Bragg's law for the DFT cell and can differ from measured ones.

Atomic structure:
Lattice parameters (Å, degrees): 15.3587 15.3587 8.9308 90.00 90.00 120.00
Space group R-3m (No. 166, hexagonal axes)
One atom of each set of equivalent atoms:
Pm  0.0000  0.0000  0.0000 x3
Er  0.0000  0.2782  0.0000 x18
Er  0.1107  0.2213  0.3894 x18
Pb  0.0000  0.0000  0.5000 x3
Pb  0.1027  0.2055  0.7649 x18

Main lines, low angle first (2θ from 10° to 90°):
d (Å)  I/Imax
3.707  20
3.116  50
2.888  17
2.844  100
2.560  90
2.472  77
1.778  24
1.748  30
1.477  19
1.460  26

[5]
The following is a calculated powder diffraction line list of Tm4Al5Ga6. It was derived from a DFT-relaxed cell (PBE, Alexandria), using λ = 1.5418 Å (Cu Kα).
Peak positions follow from Bragg's law for the DFT cell and can differ from measured ones.

Atomic structure:
Lattice parameters (Å, degrees): 4.283 18.715 15.202 90.00 90.00 90.00
Space group Cmc2_1 (No. 36)
One atom of each set of equivalent atoms:
Tm  0.000  0.021  0.000 x4
Tm  0.000  0.035  0.271 x4
Tm  0.000  0.163  0.807 x4
Tm  0.000  0.176  0.446 x4
Al  0.000  0.152  0.131 x4
Al  0.000  0.304  0.123 x4
Al  0.000  0.341  0.781 x4
Al  0.000  0.349  0.482 x4
Al  0.000  0.437  0.192 x4
Ga  0.000  0.109  0.616 x4
Ga  0.000  0.225  0.985 x4
Ga  0.000  0.234  0.269 x4
Ga  0.000  0.429  0.915 x4
Ga  0.000  0.431  0.634 x4
Ga  0.000  0.443  0.361 x4

Main lines, low angle first (2θ from 10° to 90°):
d (Å)  I/Imax
7.601  29
4.467  21
4.175  30
2.894  28
2.813  76
2.771  30
2.462  100
2.265  22
2.141  40
1.755  24

[6]
The following is a calculated powder diffraction line list of Sc3TiIr3. It was derived from a DFT-relaxed cell (PBE, Alexandria), using λ = 1.5418 Å (Cu Kα).
Peak positions follow from Bragg's law for the DFT cell and can differ from measured ones.

Atomic structure:
Lattice parameters (Å, degrees): 6.291 6.091 6.671 90.00 92.30 90.00
Space group P2/m (No. 10)
One atom of each set of equivalent atoms:
Sc  0.216  0.000  0.217 x2
Sc  0.243  0.500  0.758 x2
Sc  0.250  0.500  0.248 x2
Ti  0.273  0.000  0.730 x2
Ir  0.000  0.242  0.500 x2
Ir  0.500  0.242  0.000 x2
Ir  0.500  0.243  0.500 x2

Main lines, low angle first (2θ from 10° to 90°):
d (Å)  I/Imax
6.665  45
6.286  40
4.668  22
3.333  39
3.143  34
3.046  30
2.334  56
2.248  100
2.242  49
2.187  92